No. 1
# ScPt2W
Calculated powder diffraction line list, Cu Kα, 1.54184 Å. Input: a PBE-relaxed structure.
Kinematic intensities with the Lorentz-polarization factor, no thermal factor.

Most intense lines, 5° ≤ 2θ ≤ 70°, by angle:
9.6 deg, I 43, (0 0 3); 38.3 deg, I 100, (1 0 4); 39.1 deg, I 31, (0 0 12); 44.7 deg, I 64, (0 1 8); 64.5 deg, I 22, (1 1 0); 65.7 deg, I 21, (1 0 16)

Cell and atoms:
```
data_ScPt2W
_cell_length_a 2.8884
_cell_length_b 2.8884
_cell_length_c 27.6241
_cell_angle_alpha 90.00
_cell_angle_beta 90.00
_cell_angle_gamma 120.00
_symmetry_space_group_name_H-M 'R -3 m'
_symmetry_Int_Tables_number 166
_symmetry_space_group_name_Hall '-R 3 2"'
loop_
_atom_site_label
_atom_site_type_symbol
_atom_site_fract_x
_atom_site_fract_y
_atom_site_fract_z
_atom_site_occupancy
Sc1 Sc 0.0000 0.0000 0.0000 1
Pt1 Pt 0.0000 0.0000 0.2492 1
W1 W 0.0000 0.0000 0.5000 1
```

=====

No. 2
# Y3Sc7Pt4
Calculated powder diffraction line list, Cu Kα, 1.54184 Å. Input: a PBE-relaxed structure.
Kinematic intensities with the Lorentz-polarization factor, no thermal factor.

Most intense lines, 5° ≤ 2θ ≤ 70°, by angle:
24.9 deg, I 80, (1 1 1); 32.4 deg, I 90, (1 1 2); 33.6 deg, I 100, (5 1 -2); 39.1 deg, I 46, (5 1 0); 39.5 deg, I 69, (0 2 0); 40.2 deg, I 52, (3 1 -4)

Cell and atoms:
```
data_Y3Sc7Pt4
_cell_length_a 16.4898
_cell_length_b 4.5676
_cell_length_c 10.4040
_cell_angle_alpha 90.00
_cell_angle_beta 125.89
_cell_angle_gamma 90.00
_symmetry_space_group_name_H-M 'C 1 2/m 1'
_symmetry_Int_Tables_number 12
loop_
_symmetry_equiv_pos_as_xyz
'x,y,z'
'-x,-y,-z'
'-x,y,-z'
'x,-y,z'
'x+1/2,y+1/2,z'
'-x+1/2,-y+1/2,-z'
'-x+1/2,y+1/2,-z'
'x+1/2,-y+1/2,z'
loop_
_atom_site_label
_atom_site_type_symbol
_atom_site_fract_x
_atom_site_fract_y
_atom_site_fract_z
_atom_site_occupancy
Y1 Y 0.0000 0.0000 0.0000 1
Y2 Y 0.1898 0.5000 0.6928 1
Sc1 Sc 0.0000 0.0000 0.5000 1
Sc2 Sc 0.0095 0.5000 0.2905 1
Sc3 Sc 0.1649 0.0000 0.4207 1
Sc4 Sc 0.1918 0.5000 0.0311 1
Pt1 Pt 0.1060 0.0000 0.8390 1
Pt2 Pt 0.1699 0.5000 0.2734 1
```

=====

No. 3
# YScPt
Calculated powder diffraction line list, Cu Kα, 1.54184 Å. Input: a PBE-relaxed structure.
Kinematic intensities with the Lorentz-polarization factor, no thermal factor.

Most intense lines, 5° ≤ 2θ ≤ 70°, by angle:
23.9 deg, I 55, (1 1 1); 25.0 deg, I 57, (0 0 2); 31.6 deg, I 51, (1 3 1); 34.9 deg, I 100, (1 4 0); 43.4 deg, I 49, (1 4 2); 44.0 deg, I 40, (0 6 0)

Cell and atoms:
```
data_YScPt
_cell_length_a 4.6551
_cell_length_b 12.3354
_cell_length_c 7.1314
_cell_angle_alpha 90.00
_cell_angle_beta 90.00
_cell_angle_gamma 90.00
_symmetry_space_group_name_H-M 'A m m 2'
_symmetry_Int_Tables_number 38
loop_
_symmetry_equiv_pos_as_xyz
'x,y,z'
'-x,-y,z'
'-x,y,z'
'x,-y,z'
'x,y+1/2,z+1/2'
'-x,-y+1/2,z+1/2'
'-x,y+1/2,z+1/2'
'x,-y+1/2,z+1/2'
loop_
_atom_site_label
_atom_site_type_symbol
_atom_site_fract_x
_atom_site_fract_y
_atom_site_fract_z
_atom_site_occupancy
Y1 Y 0.0000 0.0000 0.0000 1
Y2 Y 0.0000 0.2056 0.3837 1
Sc1 Sc 0.5000 0.0000 0.3328 1
Sc2 Sc 0.5000 0.1283 0.7170 1
Pt1 Pt 0.0000 0.0000 0.5892 1
Pt2 Pt 0.5000 0.1665 0.0889 1
```

=====

No. 4
# YSc2Pt2
Calculated powder diffraction line list, Cu Kα, 1.54184 Å. Input: a PBE-relaxed structure.
Kinematic intensities with the Lorentz-polarization factor, no thermal factor.

Most intense lines, 5° ≤ 2θ ≤ 70°, by angle:
24.3 deg, I 39, (0 0 1); 26.3 deg, I 42, (2 1 0); 36.1 deg, I 100, (2 1 1); 37.5 deg, I 44, (3 1 0); 45.2 deg, I 27, (3 1 1); 63.9 deg, I 18, (3 1 2)

Cell and atoms:
```
data_YSc2Pt2
_cell_length_a 7.5837
_cell_length_b 7.5837
_cell_length_c 3.6663
_cell_angle_alpha 90.00
_cell_angle_beta 90.00
_cell_angle_gamma 90.00
_symmetry_space_group_name_H-M 'P 4/m b m'
_symmetry_Int_Tables_number 127
_symmetry_space_group_name_Hall '-P 4 2ab'
loop_
_atom_site_label
_atom_site_type_symbol
_atom_site_fract_x
_atom_site_fract_y
_atom_site_fract_z
_atom_site_occupancy
Y1 Y 0.0000 0.0000 0.0000 1
Sc1 Sc 0.1541 0.3459 0.5000 1
Pt1 Pt 0.1386 0.6386 0.0000 1
```

=====

No. 5
# Sc3Zn4Pt4
Calculated powder diffraction line list, Cu Kα, 1.54184 Å. Input: a PBE-relaxed structure.
Kinematic intensities with the Lorentz-polarization factor, no thermal factor.

Most intense lines, 5° ≤ 2θ ≤ 70°, by angle:
25.2 deg, I 51, (0 0 4); 27.0 deg, I 65, (0 2 2); 34.7 deg, I 90, (1 2 1); 37.2 deg, I 100, (1 1 4); 45.8 deg, I 84, (1 3 2); 47.2 deg, I 48, (1 2 5)

Cell and atoms:
```
data_Sc3Zn4Pt4
_cell_length_a 3.7017
_cell_length_b 7.4573
_cell_length_c 14.1590
_cell_angle_alpha 90.00
_cell_angle_beta 90.00
_cell_angle_gamma 90.00
_symmetry_space_group_name_H-M 'I m m m'
_symmetry_Int_Tables_number 71
_symmetry_space_group_name_Hall '-I 2 2'
loop_
_atom_site_label
_atom_site_type_symbol
_atom_site_fract_x
_atom_site_fract_y
_atom_site_fract_z
_atom_site_occupancy
Sc1 Sc 0.0000 0.0000 0.0000 1
Sc2 Sc 0.0000 0.5000 0.1167 1
Zn1 Zn 0.0000 0.3000 0.3302 1
Pt1 Pt 0.0000 0.0000 0.2329 1
Pt2 Pt 0.0000 0.1949 0.5000 1
```

=====

No. 6
# Sc4ZnPt3
Calculated powder diffraction line list, Cu Kα, 1.54184 Å. Input: a PBE-relaxed structure.
Kinematic intensities with the Lorentz-polarization factor, no thermal factor.

Most intense lines, 5° ≤ 2θ ≤ 70°, by angle:
26.9 deg, I 79, (1 0 4); 38.3 deg, I 98, (0 1 8); 38.5 deg, I 100, (1 1 0); 47.6 deg, I 18, (0 2 4); 55.5 deg, I 33, (2 0 8); 69.6 deg, I 33, (1 2 8)

Cell and atoms:
```
data_Sc4ZnPt3
_cell_length_a 4.6725
_cell_length_b 4.6725
_cell_length_c 23.0557
_cell_angle_alpha 90.00
_cell_angle_beta 90.00
_cell_angle_gamma 120.00
_symmetry_space_group_name_H-M 'R -3 m'
_symmetry_Int_Tables_number 166
_symmetry_space_group_name_Hall '-R 3 2"'
loop_
_atom_site_label
_atom_site_type_symbol
_atom_site_fract_x
_atom_site_fract_y
_atom_site_fract_z
_atom_site_occupancy
Sc1 Sc 0.0000 0.0000 0.1227 1
Sc2 Sc 0.0000 0.0000 0.3730 1
Zn1 Zn 0.0000 0.0000 0.5000 1
Pt1 Pt 0.0000 0.0000 0.0000 1
Pt2 Pt 0.0000 0.0000 0.2444 1
```

=====

No. 7
# Sc3Zn2Pt3
Calculated powder diffraction line list, Cu Kα, 1.54184 Å. Input: a PBE-relaxed structure.
Kinematic intensities with the Lorentz-polarization factor, no thermal factor.

Most intense lines, 5° ≤ 2θ ≤ 70°, by angle:
12.8 deg, I 45, (1 0 0); 28.0 deg, I 100, (1 1 1); 38.5 deg, I 64, (2 1 1); 39.2 deg, I 71, (3 0 0); 40.9 deg, I 67, (1 1 2); 50.8 deg, I 41, (3 1 1)

Cell and atoms:
```
data_Sc3Zn2Pt3
_cell_length_a 7.9595
_cell_length_b 7.9595
_cell_length_c 5.2988
_cell_angle_alpha 90.00
_cell_angle_beta 90.00
_cell_angle_gamma 120.00
_symmetry_space_group_name_H-M 'P 63/m c m'
_symmetry_Int_Tables_number 193
_symmetry_space_group_name_Hall '-P 6c 2'
loop_
_atom_site_label
_atom_site_type_symbol
_atom_site_fract_x
_atom_site_fract_y
_atom_site_fract_z
_atom_site_occupancy
Sc1 Sc 0.0000 0.2706 0.2500 1
Zn1 Zn 0.3333 0.6667 0.0000 1
Pt1 Pt 0.0000 0.3844 0.7500 1
```

=====

No. 8
# ScZn3Pt
Calculated powder diffraction line list, Cu Kα, 1.54184 Å. Input: a PBE-relaxed structure.
Kinematic intensities with the Lorentz-polarization factor, no thermal factor.

Most intense lines, 5° ≤ 2θ ≤ 70°, by angle:
14.8 deg, I 43, (0 0 1); 22.7 deg, I 66, (0 1 1); 34.6 deg, I 54, (0 1 2); 38.3 deg, I 56, (1 1 -2); 40.8 deg, I 51, (2 1 -1); 41.9 deg, I 100, (1 2 1)

Cell and atoms:
```
data_ScZn3Pt
_cell_length_a 5.2836
_cell_length_b 5.1737
_cell_length_c 5.9940
_cell_angle_alpha 90.00
_cell_angle_beta 91.70
_cell_angle_gamma 90.00
_symmetry_space_group_name_H-M 'P 1 21/m 1'
_symmetry_Int_Tables_number 11
loop_
_symmetry_equiv_pos_as_xyz
'x,y,z'
'-x,-y,-z'
'-x,y+1/2,-z'
'x,-y+1/2,z'
loop_
_atom_site_label
_atom_site_type_symbol
_atom_site_fract_x
_atom_site_fract_y
_atom_site_fract_z
_atom_site_occupancy
Sc1 Sc 0.1436 0.2500 0.1796 1
Zn1 Zn 0.3441 0.0043 0.6691 1
Zn2 Zn 0.3745 0.7500 0.0357 1
Pt1 Pt 0.0843 0.7500 0.3628 1
```

=====

No. 9
# Sc4ZnPt2
Calculated powder diffraction line list, Cu Kα, 1.54184 Å. Input: a PBE-relaxed structure.
Kinematic intensities with the Lorentz-polarization factor, no thermal factor.

Most intense lines, 5° ≤ 2θ ≤ 70°, by angle:
23.5 deg, I 86, (0 1 2); 27.3 deg, I 47, (1 0 4); 38.9 deg, I 100, (1 1 0); 39.1 deg, I 96, (0 1 8); 46.0 deg, I 32, (1 1 6); 56.3 deg, I 33, (2 0 8)

Cell and atoms:
```
data_Sc4ZnPt2
_cell_length_a 4.6351
_cell_length_b 4.6351
_cell_length_c 22.5057
_cell_angle_alpha 90.00
_cell_angle_beta 90.00
_cell_angle_gamma 120.00
_symmetry_space_group_name_H-M 'R -3 m'
_symmetry_Int_Tables_number 166
_symmetry_space_group_name_Hall '-R 3 2"'
loop_
_atom_site_label
_atom_site_type_symbol
_atom_site_fract_x
_atom_site_fract_y
_atom_site_fract_z
_atom_site_occupancy
Sc1 Sc 0.0000 0.0000 0.1197 1
Sc2 Sc 0.0000 0.0000 0.3716 1
Zn1 Zn 0.0000 0.0000 0.5000 1
Pt1 Pt 0.0000 0.0000 0.2484 1
```

=====

No. 10
# Sc5ZnPt
Calculated powder diffraction line list, Cu Kα, 1.54184 Å. Input: a PBE-relaxed structure.
Kinematic intensities with the Lorentz-polarization factor, no thermal factor.

Most intense lines, 5° ≤ 2θ ≤ 70°, by angle:
15.1 deg, I 100, (1 1 0); 21.6 deg, I 70, (2 0 0); 24.5 deg, I 99, (1 1 -2); 25.5 deg, I 72, (1 1 2); 30.5 deg, I 89, (2 2 0); 39.9 deg, I 78, (1 3 2)

Cell and atoms:
```
data_Sc5ZnPt
_cell_length_a 8.2255
_cell_length_b 8.3715
_cell_length_c 8.9966
_cell_angle_alpha 90.00
_cell_angle_beta 93.17
_cell_angle_gamma 90.00
_symmetry_space_group_name_H-M 'C 1 2/c 1'
_symmetry_Int_Tables_number 15
loop_
_symmetry_equiv_pos_as_xyz
'x,y,z'
'-x,-y,-z'
'-x,y,-z+1/2'
'x,-y,z+1/2'
'x+1/2,y+1/2,z'
'-x+1/2,-y+1/2,-z'
'-x+1/2,y+1/2,-z+1/2'
'x+1/2,-y+1/2,z+1/2'
loop_
_atom_site_label
_atom_site_type_symbol
_atom_site_fract_x
_atom_site_fract_y
_atom_site_fract_z
_atom_site_occupancy
Sc1 Sc 0.0000 0.1502 0.2500 1
Sc2 Sc 0.1608 0.2222 0.6603 1
Sc3 Sc 0.1767 0.4104 0.0019 1
Zn1 Zn 0.0000 0.4804 0.2500 1
Pt1 Pt 0.0000 0.0000 0.0000 1
```

=====

No. 11
# Sc4ZnPt7
Calculated powder diffraction line list, Cu Kα, 1.54184 Å. Input: a PBE-relaxed structure.
Kinematic intensities with the Lorentz-polarization factor, no thermal factor.

Most intense lines, 5° ≤ 2θ ≤ 70°, by angle:
26.0 deg, I 100, (1 1 -2); 33.7 deg, I 43, (4 0 -1); 37.2 deg, I 52, (0 2 0); 40.0 deg, I 62, (3 1 1); 45.8 deg, I 29, (5 1 -3); 51.0 deg, I 27, (4 2 -1)

Cell and atoms:
```
data_Sc4ZnPt7
_cell_length_a 11.0407
_cell_length_b 4.8373
_cell_length_c 9.7709
_cell_angle_alpha 90.00
_cell_angle_beta 121.18
_cell_angle_gamma 90.00
_symmetry_space_group_name_H-M 'C 1 2/m 1'
_symmetry_Int_Tables_number 12
loop_
_symmetry_equiv_pos_as_xyz
'x,y,z'
'-x,-y,-z'
'-x,y,-z'
'x,-y,z'
'x+1/2,y+1/2,z'
'-x+1/2,-y+1/2,-z'
'-x+1/2,y+1/2,-z'
'x+1/2,-y+1/2,z'
loop_
_atom_site_label
_atom_site_type_symbol
_atom_site_fract_x
_atom_site_fract_y
_atom_site_fract_z
_atom_site_occupancy
Sc1 Sc 0.0900 0.0000 0.2786 1
Sc2 Sc 0.2452 0.5000 0.1574 1
Zn1 Zn 0.0000 0.5000 0.5000 1
Pt1 Pt 0.0000 0.0000 0.5000 1
Pt2 Pt 0.0780 0.5000 0.8061 1
Pt3 Pt 0.1337 0.0000 0.0305 1
Pt4 Pt 0.2111 0.5000 0.4021 1
```

=====

No. 12
# Zr2Sc2Pt3
Calculated powder diffraction line list, Cu Kα, 1.54184 Å. Input: a PBE-relaxed structure.
Kinematic intensities with the Lorentz-polarization factor, no thermal factor.

Most intense lines, 5° ≤ 2θ ≤ 70°, by angle:
11.2 deg, I 37, (0 0 1); 29.4 deg, I 34, (2 0 1); 37.9 deg, I 100, (1 1 -3); 39.1 deg, I 32, (0 2 0); 39.4 deg, I 63, (3 1 -1); 55.6 deg, I 22, (2 2 2)

Cell and atoms:
```
data_Zr2Sc2Pt3
_cell_length_a 7.9031
_cell_length_b 4.6027
_cell_length_c 8.3011
_cell_angle_alpha 90.00
_cell_angle_beta 108.19
_cell_angle_gamma 90.00
_symmetry_space_group_name_H-M 'C 1 2/m 1'
_symmetry_Int_Tables_number 12
loop_
_symmetry_equiv_pos_as_xyz
'x,y,z'
'-x,-y,-z'
'-x,y,-z'
'x,-y,z'
'x+1/2,y+1/2,z'
'-x+1/2,-y+1/2,-z'
'-x+1/2,y+1/2,-z'
'x+1/2,-y+1/2,z'
loop_
_atom_site_label
_atom_site_type_symbol
_atom_site_fract_x
_atom_site_fract_y
_atom_site_fract_z
_atom_site_occupancy
Zr1 Zr 0.1217 0.0000 0.3680 1
Sc1 Sc 0.1286 0.5000 0.8827 1
Pt1 Pt 0.0000 0.5000 0.5000 1
Pt2 Pt 0.2420 0.5000 0.2322 1
```

=====

No. 13
# Zr5ScPt6
Calculated powder diffraction line list, Cu Kα, 1.54184 Å. Input: a PBE-relaxed structure.
Kinematic intensities with the Lorentz-polarization factor, no thermal factor.

Most intense lines, 5° ≤ 2θ ≤ 70°, by angle:
35.3 deg, I 96, (1 -2 2); 35.9 deg, I 84, (2 0 -1); 36.0 deg, I 100, (-1 2 1); 39.3 deg, I 94, (1 2 0); 40.4 deg, I 99, (0 0 3); 41.0 deg, I 88, (1 2 -3)

Cell and atoms:
```
data_Zr5ScPt6
_cell_length_a 5.0918
_cell_length_b 6.8430
_cell_length_c 7.6033
_cell_angle_alpha 112.56
_cell_angle_beta 101.97
_cell_angle_gamma 99.90
_symmetry_space_group_name_H-M 'P -1'
_symmetry_Int_Tables_number 2
loop_
_symmetry_equiv_pos_as_xyz
'x,y,z'
'-x,-y,-z'
loop_
_atom_site_label
_atom_site_type_symbol
_atom_site_fract_x
_atom_site_fract_y
_atom_site_fract_z
_atom_site_occupancy
Zr1 Zr 0.0000 0.0000 0.0000 1
Zr2 Zr 0.2534 0.2676 0.6171 1
Zr3 Zr 0.3342 0.8017 0.7005 1
Sc1 Sc 0.0000 0.5000 0.0000 1
Pt1 Pt 0.2353 0.4272 0.3338 1
Pt2 Pt 0.2583 0.8741 0.3289 1
Pt3 Pt 0.4525 0.2789 0.9877 1
```